Entry 1:
Calculated powder XRD pattern of MgSn for copper Kα, from a structure optimized by DFT (PBE).
Neutral-atom scattering factors, no anomalous dispersion.

Most intense lines, 10° ≤ 2θ ≤ 80°, by intensity:
2θ 34.44, 2.604 Å, rel. 100; 2θ 39.14, 2.301 Å, rel. 27; 2θ 30.14, 2.965 Å, rel. 25; 2θ 29.72, 3.006 Å, rel. 21; 2θ 11.50, 7.695 Å, rel. 20; 2θ 20.59, 4.315 Å, rel. 17; 2θ 61.68, 1.504 Å, rel. 17; 2θ 23.12, 3.848 Å, rel. 16; 2θ 46.10, 1.969 Å, rel. 13; 2θ 64.53, 1.444 Å, rel. 13

Cell and atoms:
Unit cell a=5.211 b=7.916 c=7.916 alpha=27.10 beta=90.00 gamma=90.00
Fractional coordinates of all 6 atoms:
Mg1 0.000 0.000 0.000
Mg2 0.000 0.327 0.327
Mg3 0.500 0.776 0.776
Sn1 0.000 0.666 0.666
Sn2 0.500 0.115 0.115
Sn3 0.500 0.435 0.435

Entry 2:
Calculated powder XRD pattern of MgSn for copper Kα, from a structure optimized by DFT (PBE).
Neutral-atom scattering factors, no anomalous dispersion.

Most intense lines, 10° ≤ 2θ ≤ 80°, by intensity:
2θ 35.92, 2.500 Å, rel. 100; 2θ 24.61, 3.618 Å, rel. 34; 2θ 18.13, 4.893 Å, rel. 30; 2θ 33.26, 2.694 Å, rel. 27; 2θ 61.17, 1.515 Å, rel. 22; 2θ 31.75, 2.819 Å, rel. 18; 2θ 46.61, 1.948 Å, rel. 18; 2θ 67.08, 1.395 Å, rel. 15; 2θ 56.42, 1.631 Å, rel. 12; 2θ 68.86, 1.363 Å, rel. 11

Cell and atoms:
Unit cell a=5.388 b=5.637 c=5.637 alpha=119.78 beta=90.00 gamma=90.00
Fractional coordinates of all 6 atoms:
Mg1 0.000 0.000 0.000
Mg2 0.500 0.000 0.666
Mg3 0.500 0.666 0.000
Sn1 0.000 0.334 0.672
Sn2 0.000 0.672 0.334
Sn3 0.500 0.328 0.328

Number 1 is which compound?
MgSn